This entry pairs a crystal structure of TiZnP2O7 with its calculated powder diffractogram. Radiation: copper Kα. Structure: a GGA-PBE-relaxed structure.

Top 8 peaks for 5° ≤ 2θ ≤ 70°, low angle first:
two_theta	d (Å)	Rel. int.	hkl
27.86	3.203	38.1	2 0 1
28.61	3.121	48.4	1 1 2
28.77	3.103	68.9	0 0 2
29.04	3.075	67.1	2 1 1
30.04	2.975	21.5	2 0 0
30.34	2.946	100.0	0 2 1
31.64	2.827	81.5	0 2 -1
43.75	2.069	34.0	0 0 3

Crystal structure
```
data_TiZnP2O7
_chemical_formula_sum 'Ti2 Zn2 P4 O14'
_space_group_name_H-M_alt 'P -1'
_space_group_IT_number 2
_cell_length_a 6.5196
_cell_length_b 6.6065
_cell_length_c 6.7551
_cell_angle_alpha 83.90
_cell_angle_beta 66.89
_cell_angle_gamma 81.06
loop_
_space_group_symop_operation_xyz
'x,y,z'
'-x,-y,-z'
loop_
_atom_site_label
_atom_site_fract_x
_atom_site_fract_y
_atom_site_fract_z
Ti1 0.1000 0.1490 0.2796
Zn1 0.2941 0.3760 0.6688
P1 0.2234 0.6392 0.2601
P2 0.3533 0.8873 0.8374
O1 0.0660 0.8303 0.3737
O2 0.0833 0.4787 0.2451
O3 0.2039 0.8067 0.7466
O4 0.2510 0.0935 0.9486
O5 0.3765 0.7179 0.0245
O6 0.3909 0.5506 0.3662
O7 0.4034 0.1118 0.3219
```